1.
Calculated powder diffraction line list of MgZn for copper Kα, from a cell relaxed with PBE.
No peak broadening, texture or thermal motion is included.

Principal peaks in the range 10° ≤ 2θ ≤ 90°, in order of rising 2θ:
d 4.107, 2θ 21.64, I = 64
d 3.955, 2θ 22.48, I = 22
d 2.402, 2θ 37.43, I = 47
d 2.312, 2θ 38.96, I = 69
d 2.219, 2θ 40.66, I = 100
d 2.194, 2θ 41.14, I = 24
d 1.620, 2θ 56.83, I = 17
d 1.405, 2θ 66.56, I = 15
d 1.349, 2θ 69.71, I = 19
d 1.144, 2θ 84.76, I = 15

Structure:
Lattice parameters (Å, degrees): 7.9109 7.9109 4.8049 90.00 90.00 90.00
Positions (direct):
Mg (0.0430, 0.2892, 0.0000)
Mg (0.2108, 0.4570, 0.5000)
Mg (0.2892, 0.9570, 0.0000)
Mg (0.4570, 0.7892, 0.5000)
Mg (0.5430, 0.2108, 0.5000)
Mg (0.7108, 0.0430, 0.0000)
Mg (0.7892, 0.5430, 0.5000)
Mg (0.9570, 0.7108, 0.0000)
Zn (0.1110, 0.7952, 0.5000)
Zn (0.2047, 0.1110, 0.5000)
Zn (0.2952, 0.6110, 0.0000)
Zn (0.3890, 0.2952, 0.0000)
Zn (0.6110, 0.7048, 0.0000)
Zn (0.7048, 0.3890, 0.0000)
Zn (0.7952, 0.8890, 0.5000)
Zn (0.8890, 0.2047, 0.5000)

=====

2.
Calculated powder diffraction line list of AcInI4 for copper Kα, from a cell relaxed with PBE.
No peak broadening, texture or thermal motion is included.

Principal peaks in the range 10° ≤ 2θ ≤ 90°, in order of rising 2θ:
d 8.734, 2θ 10.13, I = 15
d 7.467, 2θ 11.85, I = 61
d 4.214, 2θ 21.08, I = 32
d 3.520, 2θ 25.30, I = 51
d 3.390, 2θ 26.29, I = 100
d 2.532, 2θ 35.46, I = 40
d 2.461, 2θ 36.51, I = 21
d 2.361, 2θ 38.12, I = 37
d 2.338, 2θ 38.51, I = 25
d 2.017, 2θ 44.93, I = 26

Structure:
Lattice parameters (Å, degrees): 15.1488 4.9215 8.8602 90.00 99.68 90.00
Positions (direct):
Ac (0.0000, 0.0000, 0.0000)
Ac (0.5000, 0.5000, 0.0000)
In (0.0000, 0.5000, 0.5000)
In (0.5000, 0.0000, 0.5000)
I (0.1181, 0.0000, 0.3381)
I (0.1211, 0.5000, 0.8858)
I (0.3789, 0.0000, 0.1142)
I (0.3819, 0.5000, 0.6619)
I (0.6181, 0.5000, 0.3381)
I (0.6211, 0.0000, 0.8858)
I (0.8789, 0.5000, 0.1142)
I (0.8819, 0.0000, 0.6619)

=====

3.
Calculated powder diffraction line list of CsTb2Ag3Se5 for copper Kα, from a cell relaxed with PBE.
No peak broadening, texture or thermal motion is included.

Principal peaks in the range 10° ≤ 2θ ≤ 90°, in order of rising 2θ:
d 3.404, 2θ 26.18, I = 48
d 3.275, 2θ 27.23, I = 86
d 3.117, 2θ 28.64, I = 95
d 2.937, 2θ 30.43, I = 95
d 2.658, 2θ 33.72, I = 87
d 2.536, 2θ 35.39, I = 84
d 2.437, 2θ 36.88, I = 74
d 2.396, 2θ 37.53, I = 43
d 2.167, 2θ 41.67, I = 87
d 2.009, 2θ 45.13, I = 100

Structure:
Lattice parameters (Å, degrees): 8.1128 8.1128 17.6232 90.00 90.00 149.01
Positions (direct):
Cs (0.0623, 0.9377, 0.7500)
Cs (0.9377, 0.0623, 0.2500)
Tb (0.1923, 0.8077, 0.0950)
Tb (0.1923, 0.8077, 0.4050)
Tb (0.8077, 0.1923, 0.5950)
Tb (0.8077, 0.1923, 0.9050)
Ag (0.3434, 0.6566, 0.7500)
Ag (0.4162, 0.5838, 0.0412)
Ag (0.4162, 0.5838, 0.4588)
Ag (0.5838, 0.4162, 0.5412)
Ag (0.5838, 0.4162, 0.9588)
Ag (0.6566, 0.3434, 0.2500)
Se (0.1821, 0.8179, 0.5697)
Se (0.1821, 0.8179, 0.9303)
Se (0.2520, 0.7480, 0.2500)
Se (0.4312, 0.5688, 0.6156)
Se (0.4312, 0.5688, 0.8844)
Se (0.5688, 0.4312, 0.1156)
Se (0.5688, 0.4312, 0.3844)
Se (0.7480, 0.2520, 0.7500)
Se (0.8179, 0.1821, 0.0697)
Se (0.8179, 0.1821, 0.4303)

=====

4.
Calculated powder diffraction line list of VFeIr4 for copper Kα, from a cell relaxed with PBE.
No peak broadening, texture or thermal motion is included.

Principal peaks in the range 10° ≤ 2θ ≤ 90°, in order of rising 2θ:
d 6.190, 2θ 14.31, I = 26
d 4.761, 2θ 18.64, I = 22
d 3.363, 2θ 26.50, I = 32
d 2.359, 2θ 38.16, I = 45
d 2.192, 2θ 41.19, I = 68
d 2.081, 2θ 43.49, I = 100
d 2.072, 2θ 43.68, I = 85
d 2.063, 2θ 43.88, I = 44
d 2.046, 2θ 44.28, I = 42
d 1.349, 2θ 69.70, I = 27

Structure:
Lattice parameters (Å, degrees): 9.8821 2.7366 6.4248 90.00 105.53 90.00
Positions (direct):
V (0.0000, 0.0000, 0.0000)
V (0.5000, 0.5000, 0.0000)
Fe (0.3771, 0.0000, 0.2871)
Fe (0.8771, 0.5000, 0.2871)
Ir (0.0460, 0.0000, 0.6105)
Ir (0.1515, 0.5000, 0.3290)
Ir (0.2206, 0.5000, 0.9590)
Ir (0.3298, 0.0000, 0.6808)
Ir (0.5460, 0.5000, 0.6105)
Ir (0.6515, 0.0000, 0.3290)
Ir (0.7206, 0.0000, 0.9590)
Ir (0.8298, 0.5000, 0.6808)